1.
V8GaGeS16: simulated powder XRD pattern (a wavelength of 1.5418 Å), based on a DFT-relaxed cell (PBE, the Materials Project).

Structure:
```
V8GaGeS16
1.0
6.877 0.000 0.000
0.000 6.877 0.000
0.000 0.000 9.722
V Ga Ge S
8 1 1 16
direct
0.000 0.208 0.105
0.000 0.792 0.105
0.208 0.000 0.895
0.290 0.500 0.395
0.500 0.290 0.605
0.500 0.710 0.605
0.710 0.500 0.395
0.792 0.000 0.895
0.000 0.000 0.500
0.500 0.500 0.000
0.000 0.260 0.872
0.000 0.274 0.362
0.000 0.726 0.362
0.000 0.740 0.872
0.228 0.500 0.136
0.241 0.500 0.629
0.260 0.000 0.128
0.274 0.000 0.638
0.500 0.228 0.864
0.500 0.241 0.371
0.500 0.759 0.371
0.500 0.772 0.864
0.726 0.000 0.638
0.740 0.000 0.128
0.759 0.500 0.629
0.772 0.500 0.136
```

Top 10 peaks for 10° ≤ 2θ ≤ 90°, sorted by position:
15.8 deg, 5.614 Å, I 35; 18.2 deg, 4.862 Å, I 41; 25.9 deg, 3.438 Å, I 30; 30.5 deg, 2.932 Å, I 93; 37.0 deg, 2.431 Å, I 88; 40.4 deg, 2.231 Å, I 26; 45.7 deg, 1.985 Å, I 35; 48.7 deg, 1.871 Å, I 66; 53.3 deg, 1.719 Å, I 100; 84.6 deg, 1.146 Å, I 21

=====

2.
SrGaGe: simulated powder XRD pattern (a wavelength of 1.5418 Å), based on a DFT-relaxed cell (PBE, the Materials Project).

Structure:
```
SrGaGe
1.0
4.342 0.000 0.000
-2.171 3.761 0.000
0.000 0.000 4.708
Sr Ga Ge
1 1 1
direct
0.000 0.000 0.000
0.333 0.667 0.500
0.667 0.333 0.500
```

Top 10 peaks for 10° ≤ 2θ ≤ 90°, sorted by position:
18.9 deg, 4.708 Å, I 8; 30.4 deg, 2.938 Å, I 100; 38.2 deg, 2.354 Å, I 19; 41.6 deg, 2.171 Å, I 45; 52.4 deg, 1.746 Å, I 21; 57.8 deg, 1.596 Å, I 33; 64.3 deg, 1.448 Å, I 11; 69.0 deg, 1.361 Å, I 18; 75.9 deg, 1.254 Å, I 7; 88.3 deg, 1.106 Å, I 10

=====

3.
SrGaGe: simulated powder XRD pattern (a wavelength of 1.5418 Å), based on a DFT-relaxed cell (PBE, the Materials Project).

Structure:
```
SrGaGe
1.0
4.324 0.000 0.000
-2.162 3.745 0.000
0.000 0.000 19.135
Sr Ga Ge
4 4 4
direct
0.000 0.000 0.000
0.000 0.000 0.250
0.000 0.000 0.500
0.000 0.000 0.750
0.333 0.667 0.146
0.333 0.667 0.354
0.667 0.333 0.646
0.667 0.333 0.854
0.333 0.667 0.612
0.333 0.667 0.888
0.667 0.333 0.112
0.667 0.333 0.388
```

Top 10 peaks for 10° ≤ 2θ ≤ 90°, sorted by position:
30.3 deg, 2.949 Å, I 100; 37.6 deg, 2.392 Å, I 13; 40.9 deg, 2.208 Å, I 9; 41.8 deg, 2.162 Å, I 48; 52.5 deg, 1.744 Å, I 21; 57.5 deg, 1.604 Å, I 23; 58.5 deg, 1.578 Å, I 7; 69.2 deg, 1.357 Å, I 18; 76.3 deg, 1.248 Å, I 8; 88.3 deg, 1.107 Å, I 7

=====

4.
GaGeTe: simulated powder XRD pattern (a wavelength of 1.5418 Å), based on a DFT-relaxed cell (PBE, the Materials Project).

Structure:
```
GaGeTe
1.0
2.063 1.191 12.187
-2.063 1.191 12.187
0.000 -2.382 12.187
Ga Ge Te
2 2 2
direct
0.245 0.245 0.245
0.755 0.755 0.755
0.178 0.178 0.178
0.822 0.822 0.822
0.387 0.387 0.387
0.613 0.613 0.613
```

Top 10 peaks for 10° ≤ 2θ ≤ 90°, sorted by position:
21.9 deg, 4.062 Å, I 50; 25.4 deg, 3.507 Å, I 39; 27.8 deg, 3.211 Å, I 100; 31.8 deg, 2.815 Å, I 25; 42.9 deg, 2.108 Å, I 57; 43.9 deg, 2.063 Å, I 65; 47.2 deg, 1.925 Å, I 17; 49.6 deg, 1.840 Å, I 33; 63.0 deg, 1.475 Å, I 18; 80.0 deg, 1.200 Å, I 18

=====

5.
GaGeTe2: simulated powder XRD pattern (a wavelength of 1.5418 Å), based on a DFT-relaxed cell (PBE, the Materials Project).

Structure:
```
GaGeTe2
1.0
4.222 0.000 0.000
-2.111 3.656 0.000
0.000 0.000 17.268
Ga Ge Te
2 2 4
direct
0.333 0.667 0.327
0.667 0.333 0.673
0.333 0.667 0.175
0.667 0.333 0.825
0.333 0.667 0.600
0.333 0.667 0.901
0.667 0.333 0.099
0.667 0.333 0.400
```

Top 10 peaks for 10° ≤ 2θ ≤ 90°, sorted by position:
20.6 deg, 4.317 Å, I 49; 24.3 deg, 3.656 Å, I 62; 28.9 deg, 3.086 Å, I 100; 32.1 deg, 2.790 Å, I 24; 42.8 deg, 2.111 Å, I 54; 44.3 deg, 2.045 Å, I 68; 48.0 deg, 1.896 Å, I 31; 52.5 deg, 1.742 Å, I 19; 63.3 deg, 1.469 Å, I 23; 79.5 deg, 1.206 Å, I 24

=====

6.
Tm3Ga2Ge3: simulated powder XRD pattern (a wavelength of 1.5418 Å), based on a DFT-relaxed cell (PBE, the Materials Project).

Structure:
```
Tm3Ga2Ge3
1.0
-3.888 3.888 5.445
3.888 -3.888 5.445
3.888 3.888 -5.445
Tm Ga Ge
6 4 6
direct
0.000 0.000 0.000
0.096 0.596 0.179
0.418 0.918 0.821
0.500 0.500 0.000
0.596 0.418 0.500
0.918 0.096 0.500
0.211 0.432 0.500
0.432 0.932 0.221
0.711 0.211 0.779
0.932 0.711 0.500
0.087 0.587 0.792
0.249 0.249 0.000
0.295 0.087 0.500
0.587 0.795 0.500
0.749 0.749 0.000
0.795 0.295 0.208
```

Top 10 peaks for 10° ≤ 2θ ≤ 90°, sorted by position:
26.9 deg, 3.313 Å, I 26; 28.2 deg, 3.164 Å, I 15; 32.6 deg, 2.750 Å, I 15; 32.9 deg, 2.722 Å, I 22; 35.8 deg, 2.511 Å, I 100; 36.5 deg, 2.459 Å, I 74; 50.0 deg, 1.825 Å, I 29; 52.6 deg, 1.738 Å, I 17; 54.9 deg, 1.674 Å, I 13; 70.1 deg, 1.342 Å, I 19

=====

7.
V9GaGe2: simulated powder XRD pattern (a wavelength of 1.5418 Å), based on a DFT-relaxed cell (PBE, the Materials Project).

Structure:
```
V9GaGe2
1.0
4.785 0.000 0.000
0.000 4.804 0.000
0.000 0.000 14.121
V Ga Ge
18 2 4
direct
0.000 0.000 0.082
0.000 0.000 0.250
0.000 0.000 0.415
0.000 0.000 0.585
0.000 0.000 0.750
0.000 0.000 0.918
0.255 0.500 0.167
0.255 0.500 0.833
0.258 0.500 0.500
0.500 0.256 0.334
0.500 0.256 0.666
0.500 0.258 0.000
0.500 0.742 0.000
0.500 0.744 0.334
0.500 0.744 0.666
0.742 0.500 0.500
0.745 0.500 0.167
0.745 0.500 0.833
0.500 0.000 0.167
0.500 0.000 0.833
0.000 0.500 0.000
0.000 0.500 0.334
0.000 0.500 0.666
0.500 0.000 0.500
```

Top 10 peaks for 10° ≤ 2θ ≤ 90°, sorted by position:
37.4 deg, 2.402 Å, I 23; 37.6 deg, 2.393 Å, I 23; 38.2 deg, 2.353 Å, I 22; 42.1 deg, 2.147 Å, I 20; 42.2 deg, 2.141 Å, I 39; 42.4 deg, 2.133 Å, I 21; 42.8 deg, 2.113 Å, I 21; 46.5 deg, 1.951 Å, I 100; 47.0 deg, 1.933 Å, I 44; 75.0 deg, 1.266 Å, I 22